Structure and computed powder X-ray diffraction pattern of VTcH4 (the GGA-PBE geometry in Alexandria; Cu Kα X-rays).

Atomic structure:
Lattice parameters (Å, degrees): 4.2680 4.2680 8.5593 90.00 90.00 90.00
Space group I4_1/amd (No. 141, origin choice 2)
Inequivalent atoms, fractional coordinates:
V: 0.0000 0.2500 0.3750 [4 per cell]
Tc: 0.0000 0.2500 0.8750 [4 per cell]
H: 0.2448 0.0000 0.5000 [16 per cell]

Most intense lines, 15 to 90 degrees two-theta, by angle:
2θ 23.3, d 3.819, rel. 17; 2θ 36.4, d 2.466, rel. 100; 2θ 42.2, d 2.140, rel. 15; 2θ 42.4, d 2.134, rel. 30; 2θ 61.4, d 1.510, rel. 32; 2θ 73.6, d 1.287, rel. 23


Structure and computed powder X-ray diffraction pattern of Pm2TmThSe5 (the GGA-PBE geometry in Alexandria; Cu Kα X-rays).

Atomic structure:
Lattice parameters (Å, degrees): 5.0524 5.0524 10.8758 90.00 90.00 90.00
Space group P4/mmm (No. 123)
Inequivalent atoms, fractional coordinates:
Pm: 0.0000 0.0000 0.1771 [2 per cell]
Tm: 0.5000 0.5000 0.0000 [1 per cell]
Th: 0.5000 0.5000 0.5000 [1 per cell]
Se: 0.0000 0.0000 0.5000 [1 per cell]
Se: 0.0000 0.5000 0.0000 [2 per cell]
Se: 0.5000 0.5000 0.2495 [2 per cell]

Most intense lines, 15 to 90 degrees two-theta, by angle:
2θ 24.0, d 3.701, rel. 40; 2θ 24.9, d 3.573, rel. 100; 2θ 35.3, d 2.545, rel. 48; 2θ 35.5, d 2.526, rel. 80; 2θ 37.6, d 2.394, rel. 35; 2θ 51.1, d 1.786, rel. 28


Structure and computed powder X-ray diffraction pattern of TiCo2Sn2 (the GGA-PBE geometry in Alexandria; Cu Kα X-rays).

Atomic structure:
Lattice parameters (Å, degrees): 4.2613 4.3040 9.1185 90.00 90.00 90.00
Space group Pmmn (No. 59, origin choice 2)
Inequivalent atoms, fractional coordinates:
Ti: 0.2500 0.2500 0.1661 [2 per cell]
Co: 0.2500 0.7500 0.6796 [2 per cell]
Co: 0.2500 0.7500 0.9987 [2 per cell]
Sn: 0.2500 0.2500 0.4884 [2 per cell]
Sn: 0.2500 0.2500 0.8294 [2 per cell]

Most intense lines, 15 to 90 degrees two-theta, by angle:
2θ 23.0, d 3.861, rel. 18; 2θ 29.5, d 3.028, rel. 21; 2θ 42.0, d 2.152, rel. 26; 2θ 42.1, d 2.145, rel. 100; 2θ 42.4, d 2.131, rel. 25; 2θ 76.8, d 1.241, rel. 25


Structure and computed powder X-ray diffraction pattern of Dy3Ho3Er4 (the GGA-PBE geometry in Alexandria; Cu Kα X-rays).

Atomic structure:
Lattice parameters (Å, degrees): 3.6461 13.0794 13.0841 90.00 90.00 90.00
Space group Amm2 (No. 38)
Inequivalent atoms, fractional coordinates:
Dy: 0.0000 0.0000 0.0000 [2 per cell]
Dy: 0.0000 0.1728 0.6727 [4 per cell]
Ho: 0.0000 0.0000 0.3455 [2 per cell]
Ho: 0.5000 0.2495 0.4225 [4 per cell]
Er: 0.5000 0.0000 0.5470 [2 per cell]
Er: 0.5000 0.0000 0.7983 [2 per cell]
Er: 0.5000 0.1255 0.1730 [4 per cell]

Most intense lines, 15 to 90 degrees two-theta, by angle:
2θ 30.6, d 2.925, rel. 62; 2θ 31.2, d 2.863, rel. 30; 2θ 32.7, d 2.735, rel. 100; 2θ 56.7, d 1.624, rel. 17; 2θ 59.5, d 1.554, rel. 16; 2θ 59.8, d 1.547, rel. 19


Structure and computed powder X-ray diffraction pattern of La4Pr3Sm8 (the GGA-PBE geometry in Alexandria; Cu Kα X-rays).

Atomic structure:
Lattice parameters (Å, degrees): 13.7751 13.1201 6.9535 90.00 120.29 90.00
Space group C2/m (No. 12)
Inequivalent atoms, fractional coordinates:
La: 0.0000 0.0000 0.0000 [2 per cell]
La: 0.0000 0.0000 0.5000 [2 per cell]
La: 0.2500 0.2500 0.0000 [4 per cell]
Pr: 0.0000 0.5000 0.5000 [2 per cell]
Pr: 0.2500 0.2500 0.5000 [4 per cell]
Sm: 0.0000 0.2574 0.5000 [4 per cell]
Sm: 0.0000 0.3589 0.0000 [4 per cell]
Sm: 0.2313 0.5000 0.9993 [4 per cell]
Sm: 0.2333 0.5000 0.4732 [4 per cell]

Most intense lines, 15 to 90 degrees two-theta, by angle:
2θ 27.2, d 3.280, rel. 35; 2θ 29.8, d 3.002, rel. 100; 2θ 30.1, d 2.974, rel. 47; 2θ 31.1, d 2.876, rel. 29; 2θ 40.7, d 2.214, rel. 46; 2θ 41.0, d 2.203, rel. 21


Structure and computed powder X-ray diffraction pattern of AcNdTeO2 (the GGA-PBE geometry in Alexandria; Cu Kα X-rays).

Atomic structure:
Lattice parameters (Å, degrees): 4.1644 4.1644 13.3641 90.00 90.00 90.00
Space group I4mm (No. 107)
Inequivalent atoms, fractional coordinates:
Ac: 0.0000 0.0000 0.0000 [2 per cell]
Nd: 0.0000 0.0000 0.6825 [2 per cell]
Te: 0.0000 0.0000 0.3375 [2 per cell]
O: 0.0000 0.5000 0.0977 [4 per cell]

Most intense lines, 15 to 90 degrees two-theta, by angle:
2θ 29.4, d 3.042, rel. 100; 2θ 30.4, d 2.945, rel. 40; 2θ 43.5, d 2.082, rel. 20; 2θ 51.4, d 1.776, rel. 23; 2θ 53.3, d 1.718, rel. 38; 2θ 60.9, d 1.521, rel. 11


Structure and computed powder X-ray diffraction pattern of Ho4ScAg3 (the GGA-PBE geometry in Alexandria; Cu Kα X-rays).

Atomic structure:
Lattice parameters (Å, degrees): 3.6163 5.1887 10.4785 90.00 90.00 90.00
Space group Pmmm (No. 47)
Inequivalent atoms, fractional coordinates:
Ho: 0.0000 0.0000 0.0000 [1 per cell]
Ho: 0.0000 0.0000 0.5000 [1 per cell]
Ho: 0.0000 0.5000 0.2393 [2 per cell]
Sc: 0.5000 0.5000 0.5000 [1 per cell]
Ag: 0.5000 0.0000 0.2587 [2 per cell]
Ag: 0.5000 0.5000 0.0000 [1 per cell]

Most intense lines, 15 to 90 degrees two-theta, by angle:
2θ 34.2, d 2.620, rel. 25; 2θ 34.6, d 2.594, rel. 26; 2θ 34.7, d 2.582, rel. 100; 2θ 49.4, d 1.843, rel. 18; 2θ 61.6, d 1.505, rel. 17; 2θ 62.1, d 1.495, rel. 18


Structure and computed powder X-ray diffraction pattern of Li3PdPb4 (the GGA-PBE geometry in Alexandria; Cu Kα X-rays).

Atomic structure:
Lattice parameters (Å, degrees): 11.9728 3.4760 9.3472 90.00 105.38 90.00
Space group C2/m (No. 12)
Inequivalent atoms, fractional coordinates:
Li: 0.0000 0.0000 0.0000 [2 per cell]
Li: 0.1622 0.0000 0.5425 [4 per cell]
Pd: 0.0000 0.5000 0.5000 [2 per cell]
Pb: 0.0979 0.5000 0.2632 [4 per cell]
Pb: 0.1874 0.5000 0.8298 [4 per cell]

Most intense lines, 15 to 90 degrees two-theta, by angle:
2θ 19.7, d 4.506, rel. 73; 2θ 26.8, d 3.328, rel. 100; 2θ 32.1, d 2.789, rel. 47; 2θ 32.2, d 2.781, rel. 83; 2θ 38.0, d 2.371, rel. 80; 2θ 38.8, d 2.318, rel. 48


Question: Which formula does entry 6 have?
Answer: AcNdTeO2